Calculated PXRD pattern
Compound: LaMgCrWO6
Radiation: Cu Kα, 1.54184 Å
Structure: a cell relaxed with GGA+U
Peak positions follow from Bragg's law for the DFT cell and can differ from measured ones.

Top 12 peaks for 10 to 90 degrees two-theta, in order of rising 2θ:
- 19.31 deg, intensity 317, (0 0 1)
- 19.43 deg, intensity 343, (0 1 0)
- 19.64 deg, intensity 273, (1 0 0)
- 19.91 deg, intensity 389, (1 1 1)
- 31.86 deg, intensity 534, (1 0 -1)
- 31.99 deg, intensity 1000, (1 -1 0)
- 32.21 deg, intensity 522, (1 1 2)
- 32.35 deg, intensity 490, (1 2 1)
- 32.97 deg, intensity 376, (2 1 1)
- 37.88 deg, intensity 277, (1 2 2)
- 45.50 deg, intensity 246, (0 2 2)
- 46.58 deg, intensity 529, (2 2 0)

Atomic structure:
Cell lengths 5.433, 5.538, 5.563 Å; angles 60.60, 61.46, 61.29 degrees
Space group P1 (No. 1)
Unique sites:
La 0.000 0.000 0.000 (multiplicity 1)
Mg 0.540 0.489 0.522 (multiplicity 1)
Cr 0.761 0.751 0.748 (multiplicity 1)
W 0.260 0.251 0.253 (multiplicity 1)
O 0.149 0.505 0.509 (multiplicity 1)
O 0.417 0.003 0.984 (multiplicity 1)
O 0.542 0.901 0.465 (multiplicity 1)
O 0.572 0.437 0.930 (multiplicity 1)
O 0.907 0.097 0.543 (multiplicity 1)
O 0.940 0.571 0.064 (multiplicity 1)